Entry 1:
# Sm2Zn6Cu3
Computed powder diffraction line list, copper Kα. Input: a cell relaxed with GGA-PBE.
Kinematic intensities with the Lorentz-polarization factor, no thermal factor.

```
data_Sm2Zn6Cu3
_space_group_name_H-M_alt 'P -6 2 m'
_space_group_IT_number 189
_space_group_name_Hall 'P -6 -2'
_cell_length_a 7.3762
_cell_length_b 7.3762
_cell_length_c 4.1807
_cell_angle_alpha 90.00
_cell_angle_beta 90.00
_cell_angle_gamma 120.00
loop_
_atom_site_label
_atom_site_type_symbol
_atom_site_fract_x
_atom_site_fract_y
_atom_site_fract_z
Sm1 Sm 0.3333 0.6667 0.0000
Zn1 Zn 0.0000 0.2004 0.0000
Zn2 Zn 0.0000 0.7283 0.5000
Cu1 Cu 0.0000 0.3913 0.5000
```

Peak list (12 most intense, 2θ from 10° to 90°, sorted by position)
- 2θ 32.37, rel. 100, (1 1 1)
- 2θ 35.37, rel. 18, (2 0 1)
- 2θ 37.24, rel. 28, (2 1 0)
- 2θ 42.45, rel. 28, (3 0 0)
- 2θ 43.28, rel. 91, (0 0 2)
- 2θ 51.59, rel. 11, (3 1 0)
- 2θ 54.38, rel. 13, (2 2 1)
- 2θ 58.39, rel. 15, (2 1 2)
- 2θ 62.24, rel. 19, (3 0 2)
- 2θ 71.32, rel. 18, (4 1 1)
- 2θ 72.51, rel. 9, (1 1 3)
- 2θ 79.39, rel. 15, (4 2 0)



Entry 2:
# Rb4Pa3BiO12
Computed powder diffraction line list, copper Kα. Input: a cell relaxed with GGA-PBE.
Kinematic intensities with the Lorentz-polarization factor, no thermal factor.

```
data_Rb4Pa3BiO12
_space_group_name_H-M_alt 'I m -3 m'
_space_group_IT_number 229
_space_group_name_Hall '-I 4 2 3'
_cell_length_a 8.7608
_cell_length_b 8.7608
_cell_length_c 8.7608
_cell_angle_alpha 90.00
_cell_angle_beta 90.00
_cell_angle_gamma 90.00
loop_
_atom_site_label
_atom_site_type_symbol
_atom_site_fract_x
_atom_site_fract_y
_atom_site_fract_z
Rb1 Rb 0.2500 0.2500 0.2500
Pa1 Pa 0.0000 0.0000 0.5000
Bi1 Bi 0.0000 0.0000 0.0000
O1 O 0.0000 0.0000 0.2497
O2 O 0.0000 0.2500 0.5000
```

Peak list (12 most intense, 2θ from 10° to 90°, sorted by position)
- 2θ 20.27, rel. 31, (2 0 0)
- 2θ 28.82, rel. 100, (2 2 0)
- 2θ 35.50, rel. 3, (2 2 2)
- 2θ 41.22, rel. 29, (4 0 0)
- 2θ 46.35, rel. 15, (4 2 0)
- 2θ 51.07, rel. 43, (4 2 2)
- 2θ 59.71, rel. 19, (4 4 0)
- 2θ 63.74, rel. 7, (6 0 0)
- 2θ 67.63, rel. 19, (6 2 0)
- 2θ 75.13, rel. 6, (4 4 4)
- 2θ 78.77, rel. 3, (6 4 0)
- 2θ 82.37, rel. 23, (6 4 2)



Entry 3:
# La2Y5Ho3
Computed powder diffraction line list, copper Kα. Input: a cell relaxed with GGA-PBE.
Kinematic intensities with the Lorentz-polarization factor, no thermal factor.

```
data_La2Y5Ho3
_space_group_name_H-M_alt 'C 1 2/c 1'
_space_group_IT_number 15
_cell_length_a 10.7039
_cell_length_b 16.4318
_cell_length_c 9.2967
_cell_angle_alpha 90.00
_cell_angle_beta 125.14
_cell_angle_gamma 90.00
loop_
_space_group_symop_operation_xyz
'x,y,z'
'-x,-y,-z'
'-x,y,-z+1/2'
'x,-y,z+1/2'
'x+1/2,y+1/2,z'
'-x+1/2,-y+1/2,-z'
'-x+1/2,y+1/2,-z+1/2'
'x+1/2,-y+1/2,z+1/2'
loop_
_atom_site_label
_atom_site_type_symbol
_atom_site_fract_x
_atom_site_fract_y
_atom_site_fract_z
La1 La 0.1426 0.1252 0.0442
Y1 Y 0.0000 0.2282 0.2500
Y2 Y 0.0000 0.2754 0.7500
Y3 Y 0.0000 0.4724 0.7500
Y4 Y 0.2374 0.3807 0.2330
Ho1 Ho 0.0000 0.0257 0.2500
Ho2 Ho 0.1535 0.3780 0.5474
```

Peak list (12 most intense, 2θ from 10° to 90°, sorted by position)
- 2θ 19.80, rel. 17, (2 2 -1)
- 2θ 29.83, rel. 81, (2 4 0)
- 2θ 30.84, rel. 100, (2 2 -3)
- 2θ 32.08, rel. 31, (0 4 2)
- 2θ 33.49, rel. 45, (4 0 -2)
- 2θ 36.87, rel. 28, (2 6 -1)
- 2θ 39.34, rel. 20, (2 0 2)
- 2θ 47.05, rel. 21, (4 4 -4)
- 2θ 48.97, rel. 22, (0 6 3)
- 2θ 60.62, rel. 24, (4 6 -5)
- 2θ 64.15, rel. 22, (2 10 -3)
- 2θ 68.05, rel. 21, (2 4 -6)